Simulated X-ray powder pattern of USIF for Cu Kα X-rays, from a crystal structure in Alexandria, relaxed with GGA-PBE.

```
4
Lattice="2.040 1.178 7.657 -2.040 1.178 7.657 0.000 -2.355 7.657" Properties=species:S:1:pos:R:3 pbc="T T T"
U 0.000 0.000 0.000
S 0.000 0.000 9.122
I 0.000 0.000 5.275
F 0.000 0.000 15.017
```

Top 6 peaks for 10 to 90 degrees two-theta, by angle:
11.56 deg, intensity 100.0
25.51 deg, intensity 54.5
29.69 deg, intensity 60.7
31.96 deg, intensity 66.8
40.48 deg, intensity 28.0
44.41 deg, intensity 35.2